ZrVGe2O8: simulated powder XRD pattern (Cu Kα X-rays), based on a crystal structure in Alexandria, relaxed with GGA+U.
Peak positions follow from Bragg's law for the DFT cell and can differ from measured ones.

Most intense lines, 10° ≤ 2θ ≤ 80°, sorted by position:
two_theta, Rel. int.
26.7, 100
33.3, 8
34.5, 64
38.2, 16
52.4, 60
55.1, 15
62.3, 11
66.3, 13
66.6, 19
79.5, 10

Crystal structure
Cell: 6.670 6.670 6.226 Å, 90.00 90.00 90.00°
Space group I-4m2 (No. 119)
Asymmetric unit:
Zr  0.000  0.000  0.000 [2 per cell]
V  0.000  0.500  0.750 [2 per cell]
Ge  0.000  0.000  0.500 [2 per cell]
Ge  0.000  0.500  0.250 [2 per cell]
O  0.000  0.191  0.697 [8 per cell]
O  0.000  0.320  0.044 [8 per cell]


Ge2WO6: simulated powder XRD pattern (Cu Kα X-rays), based on a crystal structure in Alexandria, relaxed with GGA+U.
Peak positions follow from Bragg's law for the DFT cell and can differ from measured ones.

Most intense lines, 10° ≤ 2θ ≤ 80°, sorted by position:
two_theta, Rel. int.
13.4, 83
18.7, 66
19.3, 42
23.6, 43
28.2, 100
29.9, 78
33.2, 45
33.3, 35
35.0, 46
54.5, 23

Crystal structure
Cell: 10.054 9.220 5.724 Å, 90.00 109.47 90.00°
Space group C2/c (No. 15)
Asymmetric unit:
Ge  0.195  0.087  0.236 [8 per cell]
W  0.000  0.406  0.250 [4 per cell]
O  0.115  0.430  0.643 [8 per cell]
O  0.132  0.016  0.464 [8 per cell]
O  0.135  0.265  0.186 [8 per cell]